Record 1
Structure and simulated powder diffraction line list of Tb4SmGa (a structure optimized by DFT (PBE); Cu Kα).
Intensities are scaled so that the largest is 1000.

Crystal structure
```
Tb4SmGa
1.0
4.4249 -6.8227 0.0000
4.4249 6.8227 0.0000
-2.0412 0.0000 5.9304
Tb Sm Ga
8 2 2
Cartesian
1.5878 4.3632 5.6364
1.1758 1.4852 3.7217
4.2003 4.3632 3.2592
2.1964 -1.4852 0.7565
4.6123 1.4852 5.1739
2.6084 -4.3632 2.6712
5.6329 -1.4852 2.2087
5.2209 -4.3632 0.2940
3.9146 1.3701 1.4826
2.8940 -1.3701 4.4478
3.9146 -6.8176 1.4826
2.8940 6.8176 4.4478
```

Peak list (12 most intense, 2θ from 15° to 90°, low angle first)
2θ 26.12, intensity 312; 2θ 28.81, intensity 412; 2θ 29.23, intensity 537; 2θ 31.37, intensity 798; 2θ 32.69, intensity 1000; 2θ 33.52, intensity 188; 2θ 34.17, intensity 314; 2θ 34.57, intensity 449; 2θ 34.76, intensity 620; 2θ 51.26, intensity 273; 2θ 51.62, intensity 207; 2θ 54.14, intensity 257

Record 2
Structure and simulated powder diffraction line list of Er2Sc4Sn3O2 (a structure optimized by DFT (PBE); Cu Kα).
Intensities are scaled so that the largest is 1000.

Crystal structure
```
Er2Sc4Sn3O2
1.0
-2.1942 2.1942 12.0855
2.1942 -2.1942 12.0855
2.1942 2.1942 -12.0855
Er Sc Sn O
2 4 3 2
Cartesian
0.0000 0.0000 4.6483
0.0000 0.0000 19.5227
2.1942 0.0000 1.9979
2.1942 0.0000 10.0876
0.0000 2.1942 1.9979
0.0000 2.1942 10.0876
0.0000 0.0000 7.8405
0.0000 0.0000 12.0855
0.0000 0.0000 16.3305
0.0000 0.0000 2.2755
0.0000 0.0000 21.8955
```

Peak list (12 most intense, 2θ from 15° to 90°, low angle first)
2θ 22.07, intensity 191; 2θ 23.08, intensity 229; 2θ 28.77, intensity 594; 2θ 29.57, intensity 228; 2θ 29.72, intensity 446; 2θ 33.01, intensity 359; 2θ 36.55, intensity 1000; 2θ 41.14, intensity 624; 2θ 47.69, intensity 204; 2θ 51.47, intensity 192; 2θ 59.59, intensity 206; 2θ 71.97, intensity 280

Record 3
Structure and simulated powder diffraction line list of SmHoGeTe (a structure optimized by DFT (PBE); Cu Kα).
Intensities are scaled so that the largest is 1000.

Crystal structure
```
SmHoGeTe
1.0
4.2610 0.0000 0.0000
-2.1305 3.6901 0.0000
0.0000 0.0000 21.9459
Sm Ho Ge Te
3 3 3 3
Cartesian
0.0000 0.0000 0.0000
0.0000 2.4601 14.6306
2.1305 1.2300 7.3153
0.0000 0.0000 4.1589
0.0000 2.4601 18.7895
2.1305 1.2300 11.4742
0.0000 0.0000 13.0488
0.0000 2.4601 5.7335
2.1305 1.2300 20.3642
0.0000 0.0000 9.4272
0.0000 2.4601 2.1119
2.1305 1.2300 16.7426
```

Peak list (12 most intense, 2θ from 15° to 90°, low angle first)
2θ 24.46, intensity 256; 2θ 25.47, intensity 227; 2θ 29.16, intensity 361; 2θ 31.68, intensity 1000; 2θ 37.65, intensity 312; 2θ 42.43, intensity 571; 2θ 48.25, intensity 149; 2θ 53.90, intensity 222; 2θ 57.44, intensity 100; 2θ 67.50, intensity 177; 2θ 70.90, intensity 195; 2θ 77.62, intensity 96

Record 4
Structure and simulated powder diffraction line list of Pm2Nd2YEr2 (a structure optimized by DFT (PBE); Cu Kα).
Intensities are scaled so that the largest is 1000.

Crystal structure
```
Pm2Nd2YEr2
1.0
11.4101 0.0000 0.0000
0.0000 5.1034 0.0000
-1.1595 0.0000 7.9868
Pm Nd Y Er
4 4 2 4
Cartesian
1.1406 0.0000 3.4235
3.4049 2.5517 4.5634
6.8456 2.5517 3.4235
9.1099 0.0000 4.5634
-0.0128 2.5517 5.7340
4.5583 0.0000 2.2528
5.6922 0.0000 5.7340
10.2633 2.5517 2.2528
0.0000 0.0000 0.0000
5.7050 2.5517 0.0000
2.2854 2.5517 1.1246
2.2601 0.0000 6.8622
7.9904 0.0000 1.1246
7.9652 2.5517 6.8622
```

Peak list (12 most intense, 2θ from 15° to 90°, low angle first)
2θ 30.34, intensity 1000; 2θ 35.14, intensity 169; 2θ 35.19, intensity 337; 2θ 50.59, intensity 360; 2θ 60.13, intensity 357; 2θ 60.21, intensity 71; 2θ 63.08, intensity 62; 2θ 63.15, intensity 61; 2θ 82.34, intensity 117; 2θ 82.44, intensity 58; 2θ 84.94, intensity 68; 2θ 85.04, intensity 82

Record 5
Structure and simulated powder diffraction line list of KSn2Hg2 (a structure optimized by DFT (PBE); Cu Kα).
Intensities are scaled so that the largest is 1000.

Crystal structure
```
KSn2Hg2
1.0
5.0083 0.0000 0.0000
0.0000 5.0083 0.0000
0.0000 0.0000 12.2363
K Sn Hg
2 4 4
Cartesian
1.2521 1.2521 2.9843
3.7562 3.7562 9.2520
1.2521 1.2521 10.6639
1.2521 3.7562 6.1182
3.7562 1.2521 6.1182
3.7562 3.7562 1.5724
1.2521 1.2521 7.8354
1.2521 3.7562 0.0000
3.7562 1.2521 0.0000
3.7562 3.7562 4.4009
```

Peak list (12 most intense, 2θ from 15° to 90°, low angle first)
2θ 19.15, intensity 567; 2θ 28.22, intensity 269; 2θ 29.14, intensity 877; 2θ 35.86, intensity 720; 2θ 38.90, intensity 1000; 2θ 41.01, intensity 402; 2θ 51.62, intensity 257; 2θ 55.61, intensity 223; 2θ 60.37, intensity 227; 2θ 66.48, intensity 373; 2θ 72.40, intensity 160; 2θ 83.56, intensity 200

Record 6
Structure and simulated powder diffraction line list of Ac2Nd6Tm3 (a structure optimized by DFT (PBE); Cu Kα).
Intensities are scaled so that the largest is 1000.

Crystal structure
```
Ac2Nd6Tm3
1.0
2.3498 1.3567 22.2306
-2.3498 1.3567 22.2306
0.0000 -2.7133 22.2306
Ac Nd Tm
2 6 3
Cartesian
0.0000 0.0000 3.7623
0.0000 0.0000 62.9294
0.0000 0.0000 9.6170
0.0000 0.0000 21.1063
0.0000 0.0000 28.5652
0.0000 0.0000 38.1265
0.0000 0.0000 45.5855
0.0000 0.0000 57.0747
0.0000 0.0000 14.0008
0.0000 0.0000 33.3459
0.0000 0.0000 52.6910
```

Peak list (12 most intense, 2θ from 15° to 90°, low angle first)
2θ 24.34, intensity 494; 2θ 26.37, intensity 1000; 2θ 28.85, intensity 440; 2θ 30.70, intensity 198; 2θ 31.68, intensity 148; 2θ 33.72, intensity 375; 2θ 36.37, intensity 116; 2θ 38.30, intensity 837; 2θ 47.11, intensity 210; 2θ 53.85, intensity 228; 2θ 62.27, intensity 183; 2θ 69.26, intensity 149

Record 7
Structure and simulated powder diffraction line list of Na2Ga4PdAu3 (a structure optimized by DFT (PBE); Cu Kα).
Intensities are scaled so that the largest is 1000.

Crystal structure
```
Na2Ga4PdAu3
1.0
4.2985 0.0000 0.0000
0.0000 4.2985 0.0000
0.0000 0.0000 11.0836
Na Ga Pd Au
2 4 1 3
Cartesian
0.0000 2.1493 2.6652
2.1493 0.0000 8.4184
0.0000 0.0000 5.5418
0.0000 2.1493 9.6665
2.1493 0.0000 1.4171
2.1493 2.1493 5.5418
2.1493 2.1493 0.0000
0.0000 0.0000 0.0000
0.0000 2.1493 7.1227
2.1493 0.0000 3.9609
```

Peak list (12 most intense, 2θ from 15° to 90°, low angle first)
2θ 15.99, intensity 375; 2θ 22.18, intensity 1000; 2θ 26.24, intensity 317; 2θ 30.50, intensity 295; 2θ 31.94, intensity 320; 2θ 33.63, intensity 895; 2θ 42.04, intensity 749; 2θ 44.23, intensity 985; 2θ 46.07, intensity 323; 2θ 48.04, intensity 270; 2θ 60.96, intensity 247; 2θ 78.35, intensity 372